TmMoO4F: computed powder XRD pattern (a wavelength of 1.5418 Å), based on a PBE+U-relaxed structure.
Intensities are scaled so that the largest is 100.

Atomic structure:
```
TmMoO4F
1.0
5.2135 0.0000 0.0000
0.0000 12.3316 0.0000
-2.6562 0.0000 6.0994
Tm Mo O F
4 4 16 4
Cartesian
-0.0688 0.6220 1.8333
-1.3969 5.5438 4.8831
3.9542 6.7878 1.2164
2.6261 11.7096 4.2661
-0.1258 1.7676 5.2986
1.2023 4.3982 2.2489
1.3550 7.9334 3.8506
2.6831 10.5640 0.8009
-1.5827 0.8000 5.8733
-0.2546 5.3658 2.8236
0.2855 8.0401 2.4591
-1.0426 10.4573 5.5089
0.8103 2.7216 1.8048
-0.5178 3.4443 4.8545
0.8486 0.8422 4.0324
2.1767 5.3237 0.9827
0.3807 7.0080 5.1167
1.7087 11.4895 2.0670
3.0751 8.8874 1.2449
1.7471 9.6101 4.2947
3.5999 1.8743 0.5906
2.2718 4.2915 3.6403
2.8120 6.9658 3.2758
4.1400 11.5316 0.2261
-2.3541 7.3696 5.8636
-1.0260 11.1278 2.8139
3.5834 1.2038 3.2855
4.9115 4.9620 0.2358
```

Largest 12 diffraction maxima, in order of rising 2θ, 2θ from 10° to 90°:
2θ (°)  d_spacing  intensity  hkl
14.4  6.166  82  0 2 0
19.9  4.457  38  1 1 0
23.5  3.785  94  1 2 -1
26.1  3.409  25  0 3 1
27.7  3.219  50  1 0 -2
28.6  3.120  100  1 3 -1
28.9  3.091  58  1 1 1
31.5  2.836  31  1 2 1
32.5  2.751  34  0 4 1
34.6  2.593  27  1 4 -1
35.2  2.550  40  2 1 -1
46.6  1.948  25  0 6 1